Diffraction record for LiNbO3. The X-ray diffraction stick pattern is computed, not measured: it uses DFT lattice parameters and positions (PBE) and CuKα.
Kinematic intensities with the Lorentz-polarization factor, no thermal factor.

Most intense lines, 2θ = 10–90°, low angle first:
| Position (°2θ) | I_rel |
| --- | --- |
| 23.32 | 100 |
| 32.38 | 38 |
| 34.03 | 23 |
| 47.68 | 20 |
| 52.60 | 26 |
| 54.84 | 16 |
| 59.86 | 14 |
| 60.90 | 12 |

Crystal structure
Cell: 5.2694 5.2694 13.9031 Å, 90.00 90.00 120.00°
Space group R-3c (No. 167, hexagonal axes)
Symmetry-distinct sites (fractional):
Li 0.0000 0.0000 0.2500 [6 per cell]
Nb 0.0000 0.0000 0.0000 [6 per cell]
O 0.0000 0.3796 0.2500 [18 per cell]

---

Diffraction record for LiTeHO4. The X-ray diffraction stick pattern is computed, not measured: it uses DFT lattice parameters and positions (PBE) and CuKα.
Kinematic intensities with the Lorentz-polarization factor, no thermal factor.

Most intense lines, 2θ = 10–90°, low angle first:
| Position (°2θ) | I_rel |
| --- | --- |
| 17.68 | 87 |
| 18.08 | 100 |
| 22.83 | 43 |
| 27.74 | 30 |
| 29.14 | 23 |
| 34.29 | 22 |
| 34.50 | 38 |
| 40.66 | 38 |

Crystal structure
Cell: 4.997 6.130 5.108 Å, 90.00 100.91 90.00°
Space group Pm (No. 6)
Symmetry-distinct sites (fractional):
Li 0.000 0.250 0.000 [2 per cell]
Te 0.383 0.000 0.607 [1 per cell]
Te 0.384 0.500 0.612 [1 per cell]
H 0.430 0.000 0.148 [1 per cell]
H 0.450 0.500 0.163 [1 per cell]
O 0.155 0.252 0.431 [2 per cell]
O 0.193 0.000 0.893 [1 per cell]
O 0.202 0.500 0.902 [1 per cell]
O 0.577 0.000 0.317 [1 per cell]
O 0.592 0.500 0.333 [1 per cell]
O 0.618 0.248 0.778 [2 per cell]

---

Diffraction record for TcC4NO4. The X-ray diffraction stick pattern is computed, not measured: it uses DFT lattice parameters and positions (PBE) and CuKα.
Kinematic intensities with the Lorentz-polarization factor, no thermal factor.

Most intense lines, 2θ = 10–90°, low angle first:
| Position (°2θ) | I_rel |
| --- | --- |
| 14.89 | 46 |
| 17.63 | 24 |
| 19.80 | 68 |
| 21.96 | 62 |
| 23.14 | 100 |
| 23.92 | 70 |
| 28.29 | 24 |
| 34.52 | 21 |

Crystal structure
Cell: 10.070 11.903 5.521 Å, 90.00 90.00 90.00°
Space group P2_12_12 (No. 18)
Symmetry-distinct sites (fractional):
Tc 0.231 0.243 0.092 [4 per cell]
C 0.001 0.053 0.616 [4 per cell]
C 0.038 0.083 0.363 [4 per cell]
C 0.059 0.581 0.678 [4 per cell]
C 0.072 0.461 0.594 [4 per cell]
N 0.000 0.000 0.207 [2 per cell]
N 0.000 0.500 0.373 [2 per cell]
O 0.097 0.174 0.305 [4 per cell]
O 0.118 0.672 0.709 [4 per cell]
O 0.214 0.203 0.797 [4 per cell]
O 0.245 0.382 0.162 [4 per cell]

---

Diffraction record for La3NbGa5O14. The X-ray diffraction stick pattern is computed, not measured: it uses DFT lattice parameters and positions (PBE) and CuKα.
Kinematic intensities with the Lorentz-polarization factor, no thermal factor.

Most intense lines, 2θ = 10–90°, low angle first:
| Position (°2θ) | I_rel |
| --- | --- |
| 27.35 | 77 |
| 30.08 | 100 |
| 32.88 | 26 |
| 34.18 | 18 |
| 48.16 | 31 |
| 48.75 | 22 |
| 58.53 | 20 |
| 58.68 | 23 |

Crystal structure
Cell: 8.3226 8.3226 5.2467 Å, 90.00 90.00 120.00°
Space group P321 (No. 150)
Symmetry-distinct sites (fractional):
La 0.0000 0.5751 0.0000 [3 per cell]
Nb 0.0000 0.0000 0.0000 [1 per cell]
Ga 0.0000 0.2433 0.5000 [3 per cell]
Ga 0.3333 0.6667 0.5294 [2 per cell]
O 0.0780 0.8537 0.2420 [6 per cell]
O 0.1463 0.4576 0.6980 [6 per cell]
O 0.3333 0.6667 0.1818 [2 per cell]

---

Diffraction record for CsSeBr3. The X-ray diffraction stick pattern is computed, not measured: it uses DFT lattice parameters and positions (PBE) and CuKα.
Kinematic intensities with the Lorentz-polarization factor, no thermal factor.

Most intense lines, 2θ = 10–90°, low angle first:
| Position (°2θ) | I_rel |
| --- | --- |
| 14.85 | 31 |
| 19.81 | 32 |
| 25.36 | 43 |
| 25.87 | 100 |
| 28.04 | 28 |
| 34.04 | 24 |
| 38.63 | 26 |
| 52.06 | 28 |

Crystal structure
Cell: 6.047 9.322 7.684 Å, 90.00 99.37 90.00°
Space group P2_1/m (No. 11)
Symmetry-distinct sites (fractional):
Cs 0.203 0.250 0.124 [2 per cell]
Se 0.000 0.000 0.500 [2 per cell]
Br 0.137 0.750 0.396 [2 per cell]
Br 0.280 0.523 0.796 [4 per cell]

---

Diffraction record for BaSrPrZrO6. The X-ray diffraction stick pattern is computed, not measured: it uses DFT lattice parameters and positions (PBE) and CuKα.
Kinematic intensities with the Lorentz-polarization factor, no thermal factor.

Most intense lines, 2θ = 10–90°, low angle first:
| Position (°2θ) | I_rel |
| --- | --- |
| 28.80 | 100 |
| 41.13 | 19 |
| 41.31 | 9 |
| 51.00 | 30 |
| 51.11 | 15 |
| 59.71 | 11 |
| 82.20 | 11 |
| 82.38 | 7 |

Crystal structure
Cell: 8.742 8.770 8.789 Å, 90.00 90.00 90.00°
Space group P222 (No. 16)
Symmetry-distinct sites (fractional):
Ba 0.000 0.000 0.000 [1 per cell]
Ba 0.000 0.000 0.500 [1 per cell]
Ba 0.500 0.000 0.000 [1 per cell]
Ba 0.500 0.500 0.500 [1 per cell]
Sr 0.000 0.500 0.000 [1 per cell]
Sr 0.000 0.500 0.500 [1 per cell]
Sr 0.500 0.000 0.500 [1 per cell]
Sr 0.500 0.500 0.000 [1 per cell]
Pr 0.250 0.254 0.252 [4 per cell]
Zr 0.250 0.256 0.747 [4 per cell]
O 0.013 0.289 0.795 [4 per cell]
O 0.207 0.298 0.515 [4 per cell]
O 0.216 0.014 0.721 [4 per cell]
O 0.281 0.215 0.986 [4 per cell]
O 0.300 0.486 0.792 [4 per cell]
O 0.486 0.211 0.702 [4 per cell]

---

Diffraction record for BaGd2S4. The X-ray diffraction stick pattern is computed, not measured: it uses DFT lattice parameters and positions (PBE) and CuKα.
Kinematic intensities with the Lorentz-polarization factor, no thermal factor.

Most intense lines, 2θ = 10–90°, low angle first:
| Position (°2θ) | I_rel |
| --- | --- |
| 24.32 | 44 |
| 24.67 | 100 |
| 25.89 | 68 |
| 26.00 | 35 |
| 29.32 | 35 |
| 35.89 | 54 |
| 44.11 | 54 |
| 51.18 | 31 |

Crystal structure
Cell: 12.447 4.106 14.638 Å, 90.00 90.00 90.00°
Space group Pnma (No. 62)
Symmetry-distinct sites (fractional):
Ba 0.241 0.250 0.162 [4 per cell]
Gd 0.066 0.250 0.390 [4 per cell]
Gd 0.081 0.250 0.899 [4 per cell]
S 0.025 0.750 0.783 [4 per cell]
S 0.082 0.250 0.577 [4 per cell]
S 0.123 0.750 0.024 [4 per cell]
S 0.205 0.750 0.335 [4 per cell]

---

Diffraction record for KInS2. The X-ray diffraction stick pattern is computed, not measured: it uses DFT lattice parameters and positions (PBE) and CuKα.
Kinematic intensities with the Lorentz-polarization factor, no thermal factor.

Most intense lines, 2θ = 10–90°, low angle first:
| Position (°2θ) | I_rel |
| --- | --- |
| 13.40 | 39 |
| 15.24 | 32 |
| 24.17 | 76 |
| 30.75 | 100 |
| 31.86 | 34 |
| 44.27 | 50 |
| 45.82 | 43 |
| 56.20 | 32 |

Crystal structure
Cell: 11.203 11.201 15.247 Å, 90.00 100.61 90.00°
Space group C2/c (No. 15)
Symmetry-distinct sites (fractional):
K 0.034 0.188 0.384 [8 per cell]
K 0.217 0.438 0.118 [8 per cell]
In 0.100 0.189 0.656 [8 per cell]
In 0.148 0.437 0.845 [8 per cell]
S 0.000 0.053 0.750 [4 per cell]
S 0.000 0.429 0.250 [4 per cell]
S 0.049 0.313 0.946 [8 per cell]
S 0.202 0.064 0.556 [8 per cell]
S 0.241 0.188 0.249 [8 per cell]